1.
This entry pairs a crystal structure of LiCuS with its simulated X-ray diffraction stick pattern. Radiation: CuKα. Structure: the GGA-PBE geometry in the Materials Project.
Peak positions follow from Bragg's law for the DFT cell and can differ from measured ones.

Peak list (10 most intense, 2θ = 10–80°, in order of rising 2θ)
(2 0 0), 2θ = 14.4°, I = 100.0; (2 0 1), 2θ = 28.0°, I = 17.2; (2 1 1), 2θ = 37.1°, I = 47.8; (6 0 0), 2θ = 44.2°, I = 7.7; (4 1 1), 2θ = 45.3°, I = 53.4; (0 2 0), 2θ = 48.8°, I = 22.4; (2 2 0), 2θ = 51.2°, I = 14.9; (6 1 1), 2θ = 56.9°, I = 9.6; (6 2 0), 2θ = 68.0°, I = 7.7; (0 2 2), 2θ = 71.6°, I = 6.6

Structure:
abc: 12.289 3.729 3.729
angles: 90.00 90.00 90.00
Space group Pnma (No. 62)
Symmetry-distinct sites (fractional):
Li 0.078 0.250 0.250
Cu 0.250 0.250 0.749
S 0.124 0.750 0.749

2.
This entry pairs a crystal structure of YMg2 with its simulated X-ray diffraction stick pattern. Radiation: CuKα. Structure: the GGA-PBE geometry in the Materials Project.
Peak positions follow from Bragg's law for the DFT cell and can differ from measured ones.

Peak list (10 most intense, 2θ = 10–80°, in order of rising 2θ)
(1 0 0), 2θ = 30.9°, I = 23.8; (1 0 1), 2θ = 31.4°, I = 14.5; (0 0 6), 2θ = 32.4°, I = 26.4; (1 0 2), 2θ = 32.8°, I = 25.3; (0 1 3), 2θ = 35.0°, I = 100.0; (1 0 6), 2θ = 45.4°, I = 15.5; (1 1 0), 2θ = 55.0°, I = 17.7; (0 1 9), 2θ = 59.4°, I = 18.3; (1 1 6), 2θ = 65.3°, I = 19.4; (2 0 3), 2θ = 66.9°, I = 14.1

Structure:
abc: 3.3382 3.3382 16.6038
angles: 90.00 90.00 120.00
Space group P-3m1 (No. 164)
Symmetry-distinct sites (fractional):
Y 0.3333 0.6667 0.0894
Mg 0.3333 0.6667 0.4193
Mg 0.3333 0.6667 0.7400

3.
This entry pairs a crystal structure of DyHoIn2 with its simulated X-ray diffraction stick pattern. Radiation: CuKα. Structure: the GGA-PBE geometry in the Materials Project.
Peak positions follow from Bragg's law for the DFT cell and can differ from measured ones.

Peak list (8 most intense, 2θ = 10–80°, in order of rising 2θ)
(2 0 0), 2θ = 23.6°, I = 3.0; (2 2 0), 2θ = 33.7°, I = 100.0; (2 2 2), 2θ = 41.5°, I = 1.0; (4 0 0), 2θ = 48.4°, I = 18.0; (4 2 0), 2θ = 54.5°, I = 1.5; (4 2 2), 2θ = 60.2°, I = 36.9; (4 4 0), 2θ = 70.8°, I = 11.3; (6 0 0), 2θ = 75.8°, I = 0.7

Structure:
abc: 7.530 7.530 7.530
angles: 90.00 90.00 90.00
Space group Fm-3m (No. 225)
Symmetry-distinct sites (fractional):
Dy 0.000 0.000 0.000
Ho 0.000 0.000 0.500
In 0.250 0.250 0.250

4.
This entry pairs a crystal structure of RbBaO3 with its simulated X-ray diffraction stick pattern. Radiation: CuKα. Structure: the GGA-PBE geometry in the Materials Project.
Peak positions follow from Bragg's law for the DFT cell and can differ from measured ones.

Peak list (10 most intense, 2θ = 10–80°, in order of rising 2θ)
(1 0 0), 2θ = 17.8°, I = 11.3; (1 1 0), 2θ = 25.2°, I = 100.0; (2 0 0), 2θ = 36.0°, I = 35.1; (2 1 0), 2θ = 40.4°, I = 5.3; (2 1 1), 2θ = 44.4°, I = 43.8; (2 2 0), 2θ = 51.8°, I = 23.1; (3 1 0), 2θ = 58.4°, I = 19.7; (2 2 2), 2θ = 64.6°, I = 7.6; (3 2 1), 2θ = 70.5°, I = 22.9; (4 0 0), 2θ = 76.2°, I = 3.5

Structure:
abc: 4.995 4.995 4.995
angles: 90.00 90.00 90.00
Space group Pm-3m (No. 221)
Symmetry-distinct sites (fractional):
Rb 0.000 0.000 0.000
Ba 0.500 0.500 0.500
O 0.000 0.500 0.500

5.
This entry pairs a crystal structure of Sc5Sb3 with its simulated X-ray diffraction stick pattern. Radiation: CuKα. Structure: the GGA-PBE geometry in the Materials Project.
Peak positions follow from Bragg's law for the DFT cell and can differ from measured ones.

Peak list (10 most intense, 2θ = 10–80°, in order of rising 2θ)
(1 2 1), 2θ = 24.7°, I = 100.0; (0 2 2), 2θ = 25.8°, I = 37.8; (1 0 3), 2θ = 26.6°, I = 78.3; (2 2 1), 2θ = 32.1°, I = 87.6; (1 2 3), 2θ = 33.7°, I = 93.7; (1 0 4), 2θ = 34.2°, I = 59.5; (2 2 2), 2θ = 35.1°, I = 90.0; (0 4 0), 2θ = 41.2°, I = 52.6; (3 2 2), 2θ = 44.3°, I = 52.6; (3 4 4), 2θ = 65.4°, I = 53.1

Structure:
abc: 7.622 8.773 11.171
angles: 90.00 90.00 90.00
Space group Pnma (No. 62)
Symmetry-distinct sites (fractional):
Sc 0.027 0.250 0.011
Sc 0.147 0.750 0.284
Sc 0.187 0.250 0.279
Sc 0.196 0.062 0.561
Sb 0.066 0.004 0.827
Sb 0.088 0.750 0.540

What did the fifth record say?
This entry pairs a crystal structure of Sc5Sb3 with its simulated X-ray diffraction stick pattern. Radiation: CuKα. Structure: the GGA-PBE geometry in the Materials Project.
Peak positions follow from Bragg's law for the DFT cell and can differ from measured ones.

Peak list (10 most intense, 2θ = 10–80°, in order of rising 2θ)
(1 2 1), 2θ = 24.7°, I = 100.0; (0 2 2), 2θ = 25.8°, I = 37.8; (1 0 3), 2θ = 26.6°, I = 78.3; (2 2 1), 2θ = 32.1°, I = 87.6; (1 2 3), 2θ = 33.7°, I = 93.7; (1 0 4), 2θ = 34.2°, I = 59.5; (2 2 2), 2θ = 35.1°, I = 90.0; (0 4 0), 2θ = 41.2°, I = 52.6; (3 2 2), 2θ = 44.3°, I = 52.6; (3 4 4), 2θ = 65.4°, I = 53.1

Structure:
abc: 7.622 8.773 11.171
angles: 90.00 90.00 90.00
Space group Pnma (No. 62)
Symmetry-distinct sites (fractional):
Sc 0.027 0.250 0.011
Sc 0.147 0.750 0.284
Sc 0.187 0.250 0.279
Sc 0.196 0.062 0.561
Sb 0.066 0.004 0.827
Sb 0.088 0.750 0.540

Which formula does entry 2 have?
YMg2